# 1
Structure and theoretical powder XRD pattern of RbSNO (a cell relaxed with PBE; Cu Ka).
Lines closer than 0.1° are merged.

abc: 6.6862 7.6237 8.3700
angles: 90.00 90.00 90.00
Atoms (fractional coordinates):
Rb 0.2492 0.1070 0.1422
Rb 0.2508 0.8930 0.6422
Rb 0.7492 0.3930 0.8578
Rb 0.7508 0.6070 0.3578
S 0.2477 0.5871 0.1089
S 0.2523 0.4129 0.6089
S 0.7477 0.9129 0.8911
S 0.7523 0.0871 0.3911
N 0.0565 0.4897 0.1092
N 0.4435 0.5103 0.6092
N 0.5565 0.0103 0.8908
N 0.9435 0.9897 0.3908
O 0.0535 0.5101 0.6100
O 0.4465 0.4899 0.1100
O 0.5535 0.9899 0.3900
O 0.9465 0.0101 0.8900

Peak list (8 most intense, 10 to 90 degrees two-theta, in order of rising 2θ)
two_theta  I_rel
20.6  18
25.1  100
25.7  38
26.7  24
29.0  47
36.4  17
37.4  30
42.4  22

=====

# 2
Structure and theoretical powder XRD pattern of Ho2CoRu (a cell relaxed with PBE; Cu Ka).
Lines closer than 0.1° are merged.

abc: 4.7656 4.7656 4.7656
angles: 60.00 60.00 60.00
Atoms (fractional coordinates):
Ho 0.2500 0.2500 0.2500
Ho 0.7500 0.7500 0.7500
Co 0.0000 0.0000 0.0000
Ru 0.5000 0.5000 0.5000

Peak list (8 most intense, 10 to 90 degrees two-theta, in order of rising 2θ)
two_theta  I_rel
26.4  13
37.8  100
46.7  4
54.5  17
61.5  6
68.2  35
80.6  11
86.7  3

=====

# 3
Structure and theoretical powder XRD pattern of Nd3I (a cell relaxed with PBE; Cu Ka).
Lines closer than 0.1° are merged.

abc: 6.4884 6.4884 6.4884
angles: 135.24 135.24 65.16
Atoms (fractional coordinates):
Nd 0.0000 0.0000 0.0000
Nd 0.2500 0.7500 0.5000
Nd 0.7500 0.2500 0.5000
I 0.5000 0.5000 0.0000

Peak list (8 most intense, 10 to 90 degrees two-theta, in order of rising 2θ)
two_theta  I_rel
30.4  100
32.8  20
36.4  31
49.7  25
57.0  17
61.7  26
63.2  12
81.1  12

=====

# 4
Structure and theoretical powder XRD pattern of NaDy3 (a cell relaxed with PBE; Cu Ka).
Lines closer than 0.1° are merged.

abc: 7.1874 7.1874 5.7761
angles: 90.00 90.00 120.00
Atoms (fractional coordinates):
Na 0.3333 0.6667 0.2500
Na 0.6667 0.3333 0.7500
Dy 0.1644 0.3288 0.7500
Dy 0.1644 0.8356 0.7500
Dy 0.3288 0.1644 0.2500
Dy 0.6712 0.8356 0.7500
Dy 0.8356 0.1644 0.2500
Dy 0.8356 0.6712 0.2500

Peak list (8 most intense, 10 to 90 degrees two-theta, in order of rising 2θ)
two_theta  I_rel
21.0  20
28.7  23
31.0  26
32.7  100
50.8  19
56.2  21
60.7  23
61.7  16

=====

# 5
Structure and theoretical powder XRD pattern of Ca2ReN3 (a cell relaxed with PBE; Cu Ka).
Lines closer than 0.1° are merged.

abc: 6.0653 6.0653 12.3478
angles: 90.00 90.00 124.95
Atoms (fractional coordinates):
Ca 0.0510 0.9490 0.8685
Ca 0.1414 0.8586 0.4190
Ca 0.3586 0.6414 0.9190
Ca 0.4490 0.5510 0.3685
Ca 0.5510 0.4490 0.6315
Ca 0.6414 0.3586 0.0810
Ca 0.8586 0.1414 0.5810
Ca 0.9490 0.0510 0.1315
Re 0.2404 0.7596 0.6543
Re 0.2596 0.7404 0.1543
Re 0.7404 0.2596 0.8457
Re 0.7596 0.2404 0.3457
N 0.0358 0.4642 0.7500
N 0.0722 0.9278 0.6238
N 0.1535 0.8465 0.0315
N 0.3465 0.6535 0.5315
N 0.4278 0.5722 0.1238
N 0.4642 0.0358 0.2500
N 0.5358 0.9642 0.7500
N 0.5722 0.4278 0.8762
N 0.6535 0.3465 0.4685
N 0.8465 0.1535 0.9685
N 0.9278 0.0722 0.3762
N 0.9642 0.5358 0.2500

Peak list (8 most intense, 10 to 90 degrees two-theta, in order of rising 2θ)
two_theta  I_rel
16.5  76
23.0  100
28.9  26
31.9  45
33.0  87
34.2  38
43.6  21
47.6  21

=====

# 6
Structure and theoretical powder XRD pattern of CuH2SeO5 (a cell relaxed with PBE; Cu Ka).
Lines closer than 0.1° are merged.

abc: 5.1817 5.6861 7.6637
angles: 101.46 106.58 98.72
Atoms (fractional coordinates):
Cu 0.0000 0.0000 0.0000
Cu 0.5000 0.5000 0.5000
H 0.0271 0.6708 0.6643
H 0.0937 0.5339 0.2419
H 0.9063 0.4661 0.7581
H 0.9729 0.3292 0.3357
Se 0.4272 0.1221 0.7684
Se 0.5728 0.8779 0.2316
O 0.1328 0.3936 0.2958
O 0.2212 0.8136 0.1555
O 0.2968 0.8386 0.6301
O 0.3213 0.1772 0.9588
O 0.3313 0.3342 0.6533
O 0.6687 0.6658 0.3467
O 0.6787 0.8228 0.0412
O 0.7032 0.1614 0.3699
O 0.7788 0.1864 0.8445
O 0.8672 0.6064 0.7042

Peak list (8 most intense, 10 to 90 degrees two-theta, in order of rising 2θ)
two_theta  I_rel
16.3  30
18.3  41
23.0  100
24.2  31
25.4  31
26.0  27
29.4  50
35.5  28